No. 1
The following is a theoretical powder X-ray diffraction pattern of HgBiPO. It was derived from DFT lattice parameters and positions (PBE), using a wavelength of 1.5418 Å.

Structural model:
```
HgBiPO
1.0
4.1159 0.0000 0.0000
0.0000 4.1159 0.0000
0.0000 0.0000 9.1559
Hg Bi P O
2 2 2 2
Direct
0.2500 0.7500 0.0000
0.7500 0.2500 0.0000
0.2500 0.2500 0.3700
0.7500 0.7500 0.6300
0.2500 0.2500 0.8021
0.7500 0.7500 0.1979
0.2500 0.7500 0.5000
0.7500 0.2500 0.5000
```

Most intense lines, 2θ = 10–90°, by intensity:
- 32.3 deg, I 1000
- 29.2 deg, I 985
- 36.6 deg, I 628
- 53.7 deg, I 504
- 50.7 deg, I 495
- 44.0 deg, I 447
- 23.7 deg, I 308
- 19.4 deg, I 277
- 85.9 deg, I 232
- 73.5 deg, I 206

=====

No. 2
The following is a theoretical powder X-ray diffraction pattern of ZrI3. It was derived from DFT lattice parameters and positions (PBE), using a wavelength of 1.5418 Å.

Structural model:
```
ZrI3
1.0
6.5724 0.0000 0.0000
0.0000 6.7255 3.8464
0.0000 -6.7255 3.8464
Zr I
2 6
Direct
0.2490 0.0000 0.0000
0.7510 0.0000 0.0000
0.0000 0.0027 0.3145
0.0000 0.3145 0.0027
0.0000 0.6850 0.6850
0.5000 0.3145 0.3145
0.5000 0.6860 0.9973
0.5000 0.9973 0.6860
```

Most intense lines, 2θ = 10–90°, by intensity:
- 26.7 deg, I 1000
- 13.2 deg, I 567
- 26.9 deg, I 485
- 35.8 deg, I 335
- 40.5 deg, I 319
- 47.7 deg, I 297
- 49.4 deg, I 208
- 49.0 deg, I 185
- 27.1 deg, I 184
- 35.9 deg, I 173

=====

No. 3
The following is a theoretical powder X-ray diffraction pattern of CsLu2Cu3Se4S. It was derived from DFT lattice parameters and positions (PBE), using a wavelength of 1.5418 Å.

Structural model:
```
CsLu2Cu3Se4S
1.0
2.0292 -7.3132 0.0000
2.0292 7.3132 0.0000
0.0000 0.0000 16.9048
Cs Lu Cu Se S
2 4 6 8 2
Direct
0.0655 0.9345 0.7500
0.9345 0.0655 0.2500
0.1930 0.8070 0.0953
0.1930 0.8070 0.4047
0.8070 0.1930 0.5953
0.8070 0.1930 0.9047
0.3418 0.6582 0.7500
0.4166 0.5834 0.0344
0.4166 0.5834 0.4656
0.5834 0.4166 0.5344
0.5834 0.4166 0.9656
0.6582 0.3418 0.2500
0.1717 0.8283 0.5699
0.1717 0.8283 0.9301
0.4375 0.5625 0.6134
0.4375 0.5625 0.8866
0.5625 0.4375 0.1134
0.5625 0.4375 0.3866
0.8283 0.1717 0.0699
0.8283 0.1717 0.4301
0.2308 0.7692 0.2500
0.7692 0.2308 0.7500
```

Most intense lines, 2θ = 10–90°, by intensity:
- 29.1 deg, I 1000
- 31.8 deg, I 749
- 35.8 deg, I 720
- 28.6 deg, I 694
- 30.5 deg, I 671
- 47.6 deg, I 645
- 44.7 deg, I 642
- 39.4 deg, I 606
- 37.9 deg, I 571
- 27.8 deg, I 499

=====

No. 4
The following is a theoretical powder X-ray diffraction pattern of RbZr. It was derived from DFT lattice parameters and positions (PBE), using a wavelength of 1.5418 Å.

Structural model:
```
RbZr
1.0
5.8338 0.0000 0.0000
0.0000 5.1466 0.0000
-0.0150 0.0000 17.4651
Rb Zr
6 6
Direct
0.0000 0.0000 0.0000
0.0013 0.5000 0.2546
0.0058 0.5000 0.7753
0.5000 0.0000 0.1627
0.5014 0.5000 0.9079
0.5056 0.5000 0.3871
0.0444 0.0000 0.4545
0.0751 0.0000 0.6226
0.4540 0.5000 0.6217
0.5466 0.0000 0.7070
0.5753 0.0000 0.5396
0.9535 0.5000 0.5410
```

Most intense lines, 2θ = 10–90°, by intensity:
- 25.2 deg, I 1000
- 30.7 deg, I 816
- 30.9 deg, I 803
- 25.5 deg, I 766
- 34.9 deg, I 724
- 27.7 deg, I 577
- 34.6 deg, I 551
- 20.0 deg, I 515
- 47.1 deg, I 475
- 10.1 deg, I 402

=====

No. 5
The following is a theoretical powder X-ray diffraction pattern of Nd2Al3In3. It was derived from DFT lattice parameters and positions (PBE), using a wavelength of 1.5418 Å.

Structural model:
```
Nd2Al3In3
1.0
6.6998 0.0000 0.0000
-3.3499 5.8022 0.0000
0.0000 0.0000 4.8643
Nd Al In
2 3 3
Direct
0.0000 0.0000 0.0000
0.3333 0.6667 0.5000
0.3828 0.1914 0.5000
0.8086 0.1914 0.5000
0.8086 0.6172 0.5000
0.5132 0.0263 0.0000
0.5132 0.4868 0.0000
0.9737 0.4868 0.0000
```

Most intense lines, 2θ = 10–90°, by intensity:
- 36.0 deg, I 1000
- 30.8 deg, I 345
- 37.0 deg, I 207
- 23.9 deg, I 200
- 48.9 deg, I 188
- 68.0 deg, I 175
- 54.8 deg, I 169
- 18.2 deg, I 166
- 66.0 deg, I 165
- 67.4 deg, I 133

=====

No. 6
The following is a theoretical powder X-ray diffraction pattern of Pd8Se. It was derived from DFT lattice parameters and positions (PBE), using a wavelength of 1.5418 Å.

Structural model:
```
Pd8Se
1.0
7.5448 0.0000 0.0000
-3.7724 6.5340 0.0000
0.0000 0.0000 2.8495
Pd Se
8 1
Direct
0.0000 0.2890 0.0000
0.0000 0.6330 0.5000
0.2890 0.0000 0.0000
0.3333 0.6667 0.0000
0.3670 0.3670 0.5000
0.6330 0.0000 0.5000
0.6667 0.3333 0.0000
0.7110 0.7110 0.0000
0.0000 0.0000 0.5000
```

Most intense lines, 2θ = 10–90°, by intensity:
- 41.5 deg, I 1000
- 39.6 deg, I 990
- 42.1 deg, I 353
- 80.6 deg, I 278
- 71.1 deg, I 240
- 36.4 deg, I 237
- 48.8 deg, I 214
- 58.7 deg, I 205
- 74.4 deg, I 160
- 65.5 deg, I 117

=====

No. 7
The following is a theoretical powder X-ray diffraction pattern of HoErSnPd2. It was derived from DFT lattice parameters and positions (PBE), using a wavelength of 1.5418 Å.

Structural model:
```
HoErSnPd2
1.0
3.5461 0.0000 0.0000
0.0000 2.1244 7.2800
0.0000 -2.1244 7.2800
Ho Er Sn Pd
1 1 1 2
Direct
0.0000 0.0000 0.0000
0.0000 0.2633 0.2633
0.5000 0.6316 0.6316
0.5000 0.4411 0.4411
0.5000 0.8213 0.8213
```

Most intense lines, 2θ = 10–90°, by intensity:
- 33.5 deg, I 1000
- 37.4 deg, I 530
- 35.3 deg, I 509
- 37.9 deg, I 441
- 42.6 deg, I 320
- 56.5 deg, I 268
- 65.4 deg, I 207
- 51.5 deg, I 183
- 69.0 deg, I 166
- 27.9 deg, I 150

=====

No. 8
The following is a theoretical powder X-ray diffraction pattern of CsNi3As5. It was derived from DFT lattice parameters and positions (PBE), using a wavelength of 1.5418 Å.

Structural model:
```
CsNi3As5
1.0
5.1037 0.0000 0.0000
-2.5518 4.4199 0.0000
0.0000 0.0000 8.7271
Cs Ni As
1 3 5
Direct
0.0000 0.0000 0.0000
0.0000 0.5000 0.5000
0.5000 0.0000 0.5000
0.5000 0.5000 0.5000
0.0000 0.0000 0.5000
0.3333 0.6667 0.2797
0.3333 0.6667 0.7203
0.6667 0.3333 0.2797
0.6667 0.3333 0.7203
```

Most intense lines, 2θ = 10–90°, by intensity:
- 28.7 deg, I 1000
- 46.0 deg, I 982
- 10.1 deg, I 959
- 35.2 deg, I 727
- 22.5 deg, I 484
- 41.4 deg, I 298
- 55.4 deg, I 261
- 59.2 deg, I 257
- 47.4 deg, I 239
- 88.8 deg, I 194

=====

No. 9
The following is a theoretical powder X-ray diffraction pattern of Ac2Co. It was derived from DFT lattice parameters and positions (PBE), using a wavelength of 1.5418 Å.

Structural model:
```
Ac2Co
1.0
6.8528 0.0000 0.0000
0.0000 6.8528 0.0000
0.0000 0.0000 4.3073
Ac Co
4 2
Direct
0.1982 0.1982 0.0000
0.3018 0.6982 0.5000
0.6982 0.3018 0.5000
0.8018 0.8018 0.0000
0.0000 0.0000 0.5000
0.5000 0.5000 0.0000
```

Most intense lines, 2θ = 10–90°, by intensity:
- 27.7 deg, I 1000
- 29.1 deg, I 361
- 44.9 deg, I 323
- 26.0 deg, I 307
- 36.0 deg, I 199
- 37.1 deg, I 175
- 46.9 deg, I 172
- 55.3 deg, I 159
- 51.9 deg, I 151
- 71.7 deg, I 148

=====

No. 10
The following is a theoretical powder X-ray diffraction pattern of HoTmTlFe2. It was derived from DFT lattice parameters and positions (PBE), using a wavelength of 1.5418 Å.

Structural model:
```
HoTmTlFe2
1.0
3.9162 0.0000 0.0000
0.0000 1.8889 6.8959
0.0000 -1.8889 6.8959
Ho Tm Tl Fe
1 1 1 2
Direct
0.0000 0.0000 0.0000
0.0000 0.2796 0.2796
0.5000 0.6402 0.6402
0.5000 0.4292 0.4292
0.5000 0.8488 0.8488
```

Most intense lines, 2θ = 10–90°, by intensity:
- 33.6 deg, I 1000
- 34.7 deg, I 773
- 30.6 deg, I 542
- 60.7 deg, I 307
- 40.5 deg, I 268
- 46.4 deg, I 221
- 56.6 deg, I 201
- 48.2 deg, I 197
- 57.8 deg, I 194
- 63.2 deg, I 141

=====

No. 11
The following is a theoretical powder X-ray diffraction pattern of Na4GaPbAu2. It was derived from DFT lattice parameters and positions (PBE), using a wavelength of 1.5418 Å.

Structural model:
```
Na4GaPbAu2
1.0
4.9178 0.0000 0.0000
0.0000 4.9178 0.0000
0.0000 0.0000 7.2589
Na Ga Pb Au
4 1 1 2
Direct
0.0000 0.0000 0.0000
0.0000 0.5000 0.7308
0.5000 0.0000 0.2692
0.5000 0.5000 0.5000
0.0000 0.0000 0.5000
0.5000 0.5000 0.0000
0.0000 0.5000 0.2738
0.5000 0.0000 0.7262
```

Most intense lines, 2θ = 10–90°, by intensity:
- 21.8 deg, I 1000
- 35.8 deg, I 988
- 36.5 deg, I 490
- 43.0 deg, I 361
- 65.3 deg, I 341
- 41.6 deg, I 173
- 52.6 deg, I 172
- 63.7 deg, I 157
- 56.5 deg, I 144
- 70.2 deg, I 135

=====

No. 12
The following is a theoretical powder X-ray diffraction pattern of WBr5. It was derived from DFT lattice parameters and positions (PBE), using a wavelength of 1.5418 Å.

Structural model:
```
WBr5
1.0
6.2978 0.0000 0.0000
0.0000 16.9646 0.0000
0.0000 0.0000 8.2543
W Br
4 20
Direct
0.0795 0.1094 0.2500
0.0795 0.3906 0.7500
0.9205 0.6094 0.2500
0.9205 0.8906 0.7500
0.0920 0.7408 0.2500
0.0920 0.7592 0.7500
0.2255 0.5278 0.7500
0.2255 0.9722 0.2500
0.2592 0.1392 0.0029
0.2592 0.1392 0.4971
0.2592 0.3608 0.5029
0.2592 0.3608 0.9971
0.2679 0.5510 0.2500
0.2679 0.9490 0.7500
0.7321 0.0510 0.2500
0.7321 0.4490 0.7500
0.7408 0.6392 0.0029
0.7408 0.6392 0.4971
0.7408 0.8608 0.5029
0.7408 0.8608 0.9971
0.7745 0.0278 0.7500
0.7745 0.4722 0.2500
0.9080 0.2408 0.2500
0.9080 0.2592 0.7500
```

Most intense lines, 2θ = 10–90°, by intensity:
- 15.0 deg, I 1000
- 14.1 deg, I 528
- 29.9 deg, I 487
- 20.6 deg, I 421
- 25.8 deg, I 302
- 21.5 deg, I 282
- 51.4 deg, I 274
- 26.3 deg, I 247
- 41.9 deg, I 246
- 43.9 deg, I 217

=====

No. 13
The following is a theoretical powder X-ray diffraction pattern of PaSbTe. It was derived from DFT lattice parameters and positions (PBE), using a wavelength of 1.5418 Å.

Structural model:
```
PaSbTe
1.0
0.0000 3.6438 3.6438
3.6438 0.0000 3.6438
3.6438 3.6438 0.0000
Pa Sb Te
1 1 1
Direct
0.0000 0.0000 0.0000
0.7500 0.7500 0.7500
0.2500 0.2500 0.2500
```

Most intense lines, 2θ = 10–90°, by intensity:
- 34.8 deg, I 1000
- 21.1 deg, I 530
- 62.4 deg, I 371
- 41.1 deg, I 295
- 50.1 deg, I 180
- 84.0 deg, I 165
- 54.9 deg, I 129
- 73.5 deg, I 115
- 66.7 deg, I 97
- 77.5 deg, I 97

=====

No. 14
The following is a theoretical powder X-ray diffraction pattern of Na2LiH6Pd. It was derived from DFT lattice parameters and positions (PBE), using a wavelength of 1.5418 Å.

Structural model:
```
Na2LiH6Pd
1.0
5.0329 0.0000 0.0000
0.0000 6.9038 0.0000
-1.8496 0.0000 6.0829
Na Li H Pd
4 2 12 2
Direct
0.0860 0.0000 0.1489
0.3335 0.8342 0.7062
0.6665 0.3342 0.2938
0.9140 0.5000 0.8511
0.2802 0.2465 0.5918
0.7198 0.7465 0.4082
0.0411 0.5929 0.5631
0.1213 0.1460 0.8273
0.2175 0.3842 0.1618
0.3845 0.7409 0.1367
0.4961 0.8014 0.0953
0.4973 0.0342 0.4766
0.5027 0.5342 0.5234
0.5039 0.3014 0.9047
0.6155 0.2409 0.8633
0.7825 0.8842 0.8382
0.8787 0.6460 0.1727
0.9589 0.0929 0.4369
0.1724 0.5532 0.3478
0.8276 0.0532 0.6522
```

Most intense lines, 2θ = 10–90°, by intensity:
- 19.4 deg, I 1000
- 22.5 deg, I 751
- 32.2 deg, I 727
- 23.8 deg, I 714
- 14.6 deg, I 537
- 37.5 deg, I 485
- 25.8 deg, I 431
- 35.9 deg, I 420
- 39.9 deg, I 412
- 29.8 deg, I 375